This entry pairs a crystal structure of PrCdFeC with its simulated PXRD pattern. Radiation: copper Kα. Structure: a structure optimized by DFT (GGA-PBE).
Kinematic intensities with the Lorentz-polarization factor, no thermal factor.

Crystal structure
```
PrCdFeC
1.0
3.6728 0.0000 0.0000
0.0000 3.6728 0.0000
0.0000 0.0000 10.7837
Pr Cd Fe C
2 2 2 2
direct
0.2500 0.2500 0.2112
0.7500 0.7500 0.7888
0.2500 0.7500 0.5000
0.7500 0.2500 0.5000
0.2500 0.7500 0.0000
0.7500 0.2500 0.0000
0.2500 0.2500 0.9237
0.7500 0.7500 0.0763
```

Most intense lines, 15 to 90 degrees two-theta, in order of falling intensity:
d [Å]  I/Imax  hkl
2.340  100  1 1 2
3.477  59  1 0 1
1.836  29  2 0 0
2.696  27  0 0 4
2.569  20  1 0 3
3.595  20  0 0 3
1.135  19  3 1 2
1.518  18  2 0 4
2.173  15  1 0 4
2.525  14  1 1 1



This entry pairs a crystal structure of Pr4DyErTm2 with its simulated PXRD pattern. Radiation: copper Kα. Structure: a structure optimized by DFT (GGA-PBE).
Kinematic intensities with the Lorentz-polarization factor, no thermal factor.

Crystal structure
```
Pr4DyErTm2
1.0
5.1513 0.0000 0.0000
0.0000 5.1715 0.0000
0.0000 0.0000 9.9727
Pr Dy Er Tm
4 1 1 2
direct
0.0000 0.0000 0.2495
0.0000 0.0000 0.7505
0.5000 0.5000 0.2493
0.5000 0.5000 0.7507
0.0000 0.5000 0.5000
0.5000 0.0000 0.0000
0.0000 0.5000 0.0000
0.5000 0.0000 0.5000
```

Most intense lines, 15 to 90 degrees two-theta, in order of falling intensity:
d [Å]  I/Imax  hkl
2.945  100  1 1 2
2.586  18  0 2 0
2.576  17  2 0 0
2.493  16  0 0 4
1.553  15  1 3 2
1.549  15  3 1 2
1.513  14  1 1 6
1.825  13  2 2 0
1.473  12  2 2 4
1.795  12  0 2 4